(1)
The following is a simulated X-ray powder pattern of SrNdHfTiO6. It was derived from DFT lattice parameters and positions (GGA-PBE), using Cu Kα X-rays.
Lines closer than 0.1° are merged.

Main lines, sorted by position (2θ from 10° to 90°):
d (Å), two_theta, I/Imax
4.659, 19.0, 22.9
2.853, 31.4, 100.0
2.433, 36.9, 14.4
2.018, 44.9, 31.0
1.851, 49.2, 6.9
1.647, 55.8, 39.7
1.553, 59.5, 4.9
1.427, 65.4, 18.9
1.276, 74.3, 17.2
1.165, 82.9, 6.3

Crystal structure
Lattice parameters (Å, degrees): 5.706 5.706 5.706 60.00 60.00 60.00
Element x y z (fractional)
Sr  0.000  0.000  0.000
Nd  0.500  0.500  0.500
Hf  0.750  0.750  0.750
Ti  0.250  0.250  0.250
O  0.004  0.004  0.496
O  0.004  0.496  0.004
O  0.004  0.496  0.496
O  0.496  0.004  0.004
O  0.496  0.004  0.496
O  0.496  0.496  0.004

***

(2)
The following is a simulated X-ray powder pattern of Nd3HfSb5. It was derived from DFT lattice parameters and positions (GGA-PBE), using Cu Kα X-rays.
Lines closer than 0.1° are merged.

Main lines, sorted by position (2θ from 10° to 90°):
d (Å), two_theta, I/Imax
8.229, 10.8, 9.8
2.793, 32.0, 59.7
2.743, 32.6, 80.8
2.641, 33.9, 100.0
2.148, 42.1, 14.3
1.902, 47.8, 28.8
1.810, 50.4, 9.9
1.751, 52.3, 14.8
1.563, 59.1, 16.4
1.375, 68.2, 18.9

Crystal structure
Lattice parameters (Å, degrees): 9.502 9.502 6.354 90.00 90.00 120.00
Element x y z (fractional)
Nd  0.000  0.382  0.250
Nd  0.000  0.618  0.750
Nd  0.382  0.000  0.250
Nd  0.382  0.382  0.750
Nd  0.618  0.000  0.750
Nd  0.618  0.618  0.250
Hf  0.000  0.000  0.000
Hf  0.000  0.000  0.500
Sb  0.000  0.262  0.750
Sb  0.000  0.738  0.250
Sb  0.262  0.000  0.750
Sb  0.262  0.262  0.250
Sb  0.333  0.667  0.000
Sb  0.333  0.667  0.500
Sb  0.667  0.333  0.000
Sb  0.667  0.333  0.500
Sb  0.738  0.000  0.250
Sb  0.738  0.738  0.750

***

(3)
The following is a simulated X-ray powder pattern of Hf2Ni. It was derived from DFT lattice parameters and positions (GGA-PBE), using Cu Kα X-rays.
Lines closer than 0.1° are merged.

Main lines, sorted by position (2θ from 10° to 90°):
d (Å), two_theta, I/Imax
3.204, 27.8, 6.8
2.616, 34.3, 16.1
2.514, 35.7, 100.0
2.266, 39.8, 18.5
2.027, 44.7, 42.9
1.490, 62.3, 38.3
1.366, 68.7, 6.9
1.308, 72.2, 19.6
1.160, 83.3, 18.2
1.099, 89.1, 8.9

Crystal structure
Lattice parameters (Å, degrees): 6.409 6.409 5.232 90.00 90.00 90.00
Element x y z (fractional)
Hf  0.164  0.336  0.000
Hf  0.164  0.664  0.500
Hf  0.336  0.164  0.500
Hf  0.336  0.836  0.000
Hf  0.664  0.164  0.000
Hf  0.664  0.836  0.500
Hf  0.836  0.336  0.500
Hf  0.836  0.664  0.000
Ni  0.000  0.000  0.250
Ni  0.000  0.000  0.750
Ni  0.500  0.500  0.250
Ni  0.500  0.500  0.750

***

(4)
The following is a simulated X-ray powder pattern of HfNi2. It was derived from DFT lattice parameters and positions (GGA-PBE), using Cu Kα X-rays.
Lines closer than 0.1° are merged.

Main lines, sorted by position (2θ from 10° to 90°):
d (Å), two_theta, I/Imax
3.991, 22.3, 17.6
2.444, 36.8, 68.7
2.084, 43.4, 100.0
1.996, 45.5, 13.5
1.586, 58.2, 4.6
1.411, 66.2, 25.0
1.330, 70.8, 30.2
1.222, 78.2, 22.0
1.168, 82.6, 3.8
1.093, 89.7, 11.7

Crystal structure
Lattice parameters (Å, degrees): 4.888 4.888 4.888 60.00 60.00 60.00
Element x y z (fractional)
Hf  0.125  0.125  0.125
Hf  0.875  0.875  0.875
Ni  0.000  0.500  0.500
Ni  0.500  0.000  0.500
Ni  0.500  0.500  0.000
Ni  0.500  0.500  0.500

***

(5)
The following is a simulated X-ray powder pattern of Hf7Ni10. It was derived from DFT lattice parameters and positions (GGA-PBE), using Cu Kα X-rays.
Lines closer than 0.1° are merged.

Main lines, sorted by position (2θ from 10° to 90°):
d (Å), two_theta, I/Imax
3.212, 27.8, 36.9
3.064, 29.1, 16.1
2.540, 35.3, 14.6
2.350, 38.3, 100.0
2.275, 39.6, 26.3
2.268, 39.7, 25.4
2.217, 40.7, 98.5
2.110, 42.9, 15.3
1.606, 57.4, 20.7
1.456, 63.9, 17.7

Crystal structure
Lattice parameters (Å, degrees): 7.624 7.624 9.102 90.00 90.00 73.01
Element x y z (fractional)
Hf  0.000  0.000  0.000
Hf  0.005  0.495  0.250
Hf  0.187  0.813  0.688
Hf  0.194  0.194  0.500
Hf  0.306  0.306  0.000
Hf  0.313  0.687  0.188
Hf  0.495  0.005  0.750
Hf  0.500  0.500  0.500
Hf  0.505  0.995  0.250
Hf  0.687  0.313  0.812
Hf  0.694  0.694  0.000
Hf  0.806  0.806  0.500
Hf  0.813  0.187  0.312
Hf  0.995  0.505  0.750
Ni  0.064  0.647  0.992
Ni  0.107  0.893  0.395
Ni  0.134  0.155  0.792
Ni  0.147  0.564  0.492
Ni  0.155  0.134  0.208
Ni  0.345  0.366  0.708
Ni  0.353  0.936  0.992
Ni  0.366  0.345  0.292
Ni  0.393  0.607  0.895
Ni  0.436  0.853  0.492
Ni  0.564  0.147  0.508
Ni  0.607  0.393  0.105
Ni  0.634  0.655  0.708
Ni  0.647  0.064  0.008
Ni  0.655  0.634  0.292
Ni  0.845  0.866  0.792
Ni  0.853  0.436  0.508
Ni  0.866  0.845  0.208
Ni  0.893  0.107  0.605
Ni  0.936  0.353  0.008

***

(6)
The following is a simulated X-ray powder pattern of Hf2Ni7. It was derived from DFT lattice parameters and positions (GGA-PBE), using Cu Kα X-rays.
Lines closer than 0.1° are merged.

Main lines, sorted by position (2θ from 10° to 90°):
d (Å), two_theta, I/Imax
2.726, 32.9, 44.7
2.420, 37.2, 58.9
2.327, 38.7, 63.2
2.315, 38.9, 47.1
2.145, 42.1, 35.3
2.071, 43.7, 94.6
2.014, 45.0, 46.5
2.002, 45.3, 43.9
1.983, 45.7, 100.0
1.927, 47.2, 45.1

Crystal structure
Lattice parameters (Å, degrees): 4.703 4.703 6.251 97.90 97.90 120.72
Element x y z (fractional)
Hf  0.106  0.106  0.271
Hf  0.894  0.894  0.729
Ni  0.000  0.500  0.000
Ni  0.207  0.537  0.655
Ni  0.463  0.793  0.345
Ni  0.500  0.000  0.000
Ni  0.500  0.500  0.000
Ni  0.537  0.207  0.655
Ni  0.793  0.463  0.345